[1]
# K3La2PaTe6
Simulated powder X-ray diffraction pattern, copper Kα. Input: DFT lattice parameters and positions (PBE).
No peak broadening, texture or thermal motion is included.

Cell and atoms:
a = 8.0287 Å, b = 13.9047 Å, c = 8.6889 Å
α = 90.00°, β = 107.96°, γ = 90.00°
Space group C2/m (No. 12)
One atom of each set of equivalent atoms:
K 0.0000 0.0000 0.0000
K 0.0000 0.3305 0.0000
La 0.0000 0.1662 0.5000
Pa 0.0000 0.5000 0.5000
Te 0.2337 0.3382 0.7162
Te 0.2494 0.0000 0.7169

Most intense lines, 10 to 80 degrees two-theta, by angle:
Position (°2θ), I (rel.), hkl
10.7, 40, 0 0 1
26.5, 100, 1 3 1
33.7, 16, 2 0 -3
36.6, 37, 2 0 2
38.9, 37, 0 6 0
47.6, 20, 4 0 0
60.0, 14, 3 3 3
63.1, 16, 4 6 0

[2]
# Rb2Cd5As4
Simulated powder X-ray diffraction pattern, copper Kα. Input: DFT lattice parameters and positions (PBE).
No peak broadening, texture or thermal motion is included.

Cell and atoms:
a = 12.6278 Å, b = 7.7657 Å, c = 12.6999 Å
α = 90.00°, β = 90.00°, γ = 90.00°
Space group Cmcm (No. 63)
One atom of each set of equivalent atoms:
Rb 0.2042 0.0000 0.0000
Cd 0.0000 0.0107 0.2500
Cd 0.0000 0.3482 0.6054
Cd 0.1479 0.3850 0.2500
As 0.0000 0.2793 0.1010
As 0.1550 0.2439 0.7500

Most intense lines, 10 to 80 degrees two-theta, by angle:
Position (°2θ), I (rel.), hkl
14.0, 58, 2 0 0
27.9, 100, 3 1 2
30.5, 47, 2 2 2
31.3, 36, 0 2 3
31.5, 37, 2 0 4
35.4, 32, 1 3 0
37.4, 35, 4 2 1
41.5, 50, 3 3 1

Q: Which formula does entry 2 have?
A: Rb2Cd5As4